Record 1
This entry pairs a crystal structure of Pu2NiF11 with its simulated X-ray powder pattern. Radiation: Cu Kα X-rays. Structure: a structure optimized by DFT (GGA+U).

Cell and atoms:
```
data_Pu2NiF11
_space_group_name_H-M_alt 'C 1 2/c 1'
_space_group_IT_number 15
_cell_length_a 13.3479
_cell_length_b 8.8458
_cell_length_c 9.5924
_cell_angle_alpha 90.00
_cell_angle_beta 130.70
_cell_angle_gamma 90.00
loop_
_space_group_symop_operation_xyz
'x,y,z'
'-x,-y,-z'
'-x,y,-z+1/2'
'x,-y,z+1/2'
'x+1/2,y+1/2,z'
'-x+1/2,-y+1/2,-z'
'-x+1/2,y+1/2,-z+1/2'
'x+1/2,-y+1/2,z+1/2'
loop_
_atom_site_label
_atom_site_type_symbol
_atom_site_fract_x
_atom_site_fract_y
_atom_site_fract_z
_atom_site_occupancy
Pu1 Pu 0.2407 0.1292 0.1989 1
Ni1 Ni 0.0000 0.3406 0.2500 1
F1 F 0.0667 0.0809 0.9497 1
F2 F 0.0841 0.3397 0.5216 1
F3 F 0.1263 0.4944 0.8176 1
F4 F 0.1295 0.1913 0.2837 1
F5 F 0.2362 0.1028 0.7658 1
F6 F 0.2500 0.2500 0.0000 1
```

Top 8 peaks for 2θ = 10–90°, sorted by position:
d_spacing  two_theta  Rel. int.  index
5.060  17.53  626  2 0 0
4.778  18.57  377  2 0 -2
3.993  22.27  221  1 1 -2
3.779  23.54  533  0 2 1
3.685  24.15  1000  2 2 -1
3.636  24.48  345  0 0 2
3.331  26.76  314  4 0 -2
2.630  34.08  236  2 2 1

Record 2
This entry pairs a crystal structure of RbNiF3 with its simulated X-ray powder pattern. Radiation: Cu Kα X-rays. Structure: a structure optimized by DFT (GGA+U).

Cell and atoms:
```
data_RbNiF3
_space_group_name_H-M_alt 'C m c m'
_space_group_IT_number 63
_space_group_name_Hall '-C 2c 2'
_cell_length_a 6.0149
_cell_length_b 10.4423
_cell_length_c 5.2360
_cell_angle_alpha 90.00
_cell_angle_beta 90.00
_cell_angle_gamma 90.00
loop_
_atom_site_label
_atom_site_type_symbol
_atom_site_fract_x
_atom_site_fract_y
_atom_site_fract_z
_atom_site_occupancy
Rb1 Rb 0.0000 0.1670 0.2500 1
Ni1 Ni 0.0000 0.5000 0.0000 1
F1 F 0.0000 0.3512 0.7500 1
F2 F 0.2236 0.4256 0.2500 1
```

Top 8 peaks for 2θ = 10–90°, sorted by position:
d_spacing  two_theta  Rel. int.  index
5.215  17.00  373  1 1 0
3.695  24.09  715  1 1 1
3.011  29.67  1000  2 0 0
2.338  38.50  730  0 4 1
2.333  38.59  545  2 2 1
1.847  49.33  515  2 2 2
1.738  52.65  185  3 3 0
1.575  58.62  384  1 5 2

Record 3
This entry pairs a crystal structure of Rb3NiF7 with its simulated X-ray powder pattern. Radiation: Cu Kα X-rays. Structure: a structure optimized by DFT (GGA+U).

Cell and atoms:
```
data_Rb3NiF7
_space_group_name_H-M_alt 'P 4/m b m'
_space_group_IT_number 127
_space_group_name_Hall '-P 4 2ab'
_cell_length_a 8.0972
_cell_length_b 8.0972
_cell_length_c 5.9301
_cell_angle_alpha 90.00
_cell_angle_beta 90.00
_cell_angle_gamma 90.00
loop_
_atom_site_label
_atom_site_type_symbol
_atom_site_fract_x
_atom_site_fract_y
_atom_site_fract_z
_atom_site_occupancy
Rb1 Rb 0.0000 0.0000 0.0000 1
Rb2 Rb 0.1906 0.3094 0.5000 1
Ni1 Ni 0.0000 0.5000 0.0000 1
F1 F 0.0000 0.0000 0.5000 1
F2 F 0.1102 0.6102 0.2172 1
F3 F 0.1574 0.3426 0.0000 1
```

Top 8 peaks for 2θ = 10–90°, sorted by position:
d_spacing  two_theta  Rel. int.  index
3.621  24.58  162  2 1 0
3.344  26.66  1000  2 0 1
3.091  28.89  212  2 1 1
2.965  30.14  293  0 0 2
2.863  31.24  414  2 2 0
2.561  35.04  177  3 1 0
2.294  39.27  391  2 1 2
2.059  43.97  298  2 2 2